# YNi2B2O6
Calculated powder diffractogram, a wavelength of 1.5418 Å. Input: a DFT-relaxed cell (PBE+U, Alexandria).
Intensities are scaled so that the largest is 100.

Main lines, low angle first (15 to 90 degrees two-theta):
| Position (°2θ) | I_rel | hkl |
| --- | --- | --- |
| 25.19 | 100 | 0 1 1 |
| 35.37 | 43 | 1 1 0 |
| 36.48 | 65 | 1 0 2 |
| 38.57 | 11 | 2 -1 1 |
| 43.92 | 34 | 2 0 1 |
| 51.72 | 18 | 0 2 2 |
| 57.61 | 27 | 1 2 1 |
| 59.14 | 26 | 1 1 3 |
| 63.49 | 15 | 3 0 0 |
| 64.22 | 19 | 3 -1 2 |

Structural model:
```
YNi2B2O6
1.0
5.076 0.000 0.000
-2.538 4.396 0.000
0.000 0.000 5.947
Y Ni B O
1 2 2 6
direct
0.000 0.000 0.000
0.333 0.667 0.326
0.667 0.333 0.674
0.333 0.667 0.767
0.667 0.333 0.233
0.064 0.675 0.769
0.325 0.389 0.769
0.389 0.064 0.231
0.611 0.936 0.769
0.675 0.611 0.231
0.936 0.325 0.231
```